1.
Theoretical X-ray powder pattern
Compound: K2MgP2Ir
Radiation: copper Kα
Structure: a PBE-relaxed structure
No peak broadening, texture or thermal motion is included.

Atomic structure:
```
data_K2MgP2Ir
_symmetry_space_group_name_H-M 'P -4 m 2'
_symmetry_Int_Tables_number 115
_cell_length_a 4.148
_cell_length_b 4.148
_cell_length_c 9.781
_cell_angle_alpha 90.00
_cell_angle_beta 90.00
_cell_angle_gamma 90.00
loop_
_symmetry_equiv_pos_as_xyz
'x,y,z'
'y,-x,-z'
'-x,-y,z'
'-y,x,-z'
'-x,y,z'
'-y,-x,-z'
'x,-y,z'
'y,x,-z'
loop_
_atom_site_label
_atom_site_fract_x
_atom_site_fract_y
_atom_site_fract_z
_atom_site_occupancy
K1 0.000 0.500 0.197 1
Mg1 0.000 0.000 0.500 1
P1 0.000 0.500 0.634 1
Ir1 0.500 0.500 0.500 1
```

The 10 most intense peaks (2θ = 10–90°), by angle:
index, 2θ (°), I (rel.)
1 0 0, 21.42, 58.1
1 0 1, 23.29, 99.0
0 0 3, 27.35, 33.2
1 0 2, 28.21, 89.7
1 1 1, 31.85, 66.4
1 0 3, 35.01, 42.5
1 1 2, 35.70, 100.0
2 0 0, 43.65, 43.4
2 0 1, 44.67, 34.4
1 1 4, 48.47, 33.2

2.
Theoretical X-ray powder pattern
Compound: ErTm2Si4Ni4
Radiation: copper Kα
Structure: a PBE-relaxed structure
No peak broadening, texture or thermal motion is included.

Atomic structure:
```
data_ErTm2Si4Ni4
_symmetry_space_group_name_H-M 'I m m m'
_symmetry_Int_Tables_number 71
_symmetry_space_group_name_Hall '-I 2 2'
_cell_length_a 3.991
_cell_length_b 6.542
_cell_length_c 13.155
_cell_angle_alpha 90.00
_cell_angle_beta 90.00
_cell_angle_gamma 90.00
loop_
_atom_site_label
_atom_site_fract_x
_atom_site_fract_y
_atom_site_fract_z
_atom_site_occupancy
Er1 0.000 0.000 0.000 1
Tm1 0.000 0.500 0.128 1
Si1 0.000 0.000 0.218 1
Si2 0.000 0.188 0.500 1
Ni1 0.000 0.304 0.323 1
```

The 10 most intense peaks (2θ = 10–90°), by angle:
index, 2θ (°), I (rel.)
1 0 1, 23.29, 27.6
0 1 3, 24.44, 34.6
1 1 2, 29.53, 23.1
1 2 1, 36.16, 98.0
0 1 5, 36.82, 34.9
1 1 4, 38.03, 100.0
0 0 6, 41.14, 21.0
2 0 0, 45.45, 33.6
0 3 3, 46.51, 35.2
2 3 3, 67.06, 23.0

3.
Theoretical X-ray powder pattern
Compound: TlCuGeTeSe2
Radiation: copper Kα
Structure: a PBE-relaxed structure
No peak broadening, texture or thermal motion is included.

Atomic structure:
```
data_TlCuGeTeSe2
_symmetry_space_group_name_H-M 'C m c m'
_symmetry_Int_Tables_number 63
_symmetry_space_group_name_Hall '-C 2c 2'
_cell_length_a 3.673
_cell_length_b 15.204
_cell_length_c 11.085
_cell_angle_alpha 90.00
_cell_angle_beta 90.00
_cell_angle_gamma 90.00
loop_
_atom_site_label
_atom_site_fract_x
_atom_site_fract_y
_atom_site_fract_z
_atom_site_occupancy
Tl1 0.000 0.234 0.250 1
Cu1 0.000 0.436 0.750 1
Ge1 0.000 0.000 0.000 1
Te1 0.000 0.063 0.750 1
Se1 0.000 0.379 0.549 1
```

The 10 most intense peaks (2θ = 10–90°), by angle:
index, 2θ (°), I (rel.)
0 0 2, 15.99, 25.1
0 2 2, 19.82, 18.0
0 4 2, 28.47, 20.8
1 3 1, 31.14, 100.0
0 0 4, 32.30, 37.6
1 3 2, 34.22, 18.7
1 1 3, 34.95, 19.7
1 3 3, 38.87, 25.1
0 6 2, 39.09, 21.4
1 3 5, 51.41, 35.5

4.
Theoretical X-ray powder pattern
Compound: Na2TbPrO4
Radiation: copper Kα
Structure: a PBE-relaxed structure
No peak broadening, texture or thermal motion is included.

Atomic structure:
```
data_Na2TbPrO4
_symmetry_space_group_name_H-M 'I -4 m 2'
_symmetry_Int_Tables_number 119
_symmetry_space_group_name_Hall 'I -4 -2'
_cell_length_a 4.683
_cell_length_b 4.683
_cell_length_c 10.561
_cell_angle_alpha 90.00
_cell_angle_beta 90.00
_cell_angle_gamma 90.00
loop_
_atom_site_label
_atom_site_fract_x
_atom_site_fract_y
_atom_site_fract_z
_atom_site_occupancy
Na1 0.000 0.000 0.000 1
Na2 0.000 0.500 0.250 1
Tb1 0.000 0.500 0.750 1
Pr1 0.000 0.000 0.500 1
O1 0.000 0.000 0.269 1
O2 0.000 0.500 0.535 1
```

The 10 most intense peaks (2θ = 10–90°), by angle:
index, 2θ (°), I (rel.)
1 0 1, 20.75, 96.5
1 1 2, 31.88, 100.0
0 0 4, 33.95, 32.4
2 0 0, 38.45, 49.3
2 1 1, 44.08, 27.0
2 0 4, 52.22, 36.4
2 2 0, 55.50, 16.0
1 1 6, 59.47, 16.4
3 1 2, 65.45, 24.5
2 2 4, 66.68, 16.7